K5Pb24: theoretical PXRD pattern (copper Kα), based on a crystal structure in the Materials Project, relaxed with GGA-PBE.
Neutral-atom scattering factors, no anomalous dispersion.

Main lines, sorted by position (2θ = 10–90°):
2theta  intensity
17.28  155
28.40  168
30.16  1000
33.43  429
36.44  527
51.39  152
53.56  293
54.63  168
62.70  145
69.31  125

Structure:
abc: 12.5728 12.5728 12.5728
angles: 90.00 90.00 90.00
Space group I-43m (No. 217)
Unique sites:
K 0.0000 0.0000 0.0000 x2
K 0.1818 0.1818 0.8182 x8
Pb 0.0404 0.3612 0.3612 x24
Pb 0.0952 0.0952 0.2940 x24

=====

Te2MoW3Se6: theoretical PXRD pattern (copper Kα), based on a crystal structure in the Materials Project, relaxed with GGA-PBE.
Neutral-atom scattering factors, no anomalous dispersion.

Main lines, sorted by position (2θ = 10–90°):
2theta  intensity
11.48  1000
13.79  141
30.54  388
32.71  148
35.89  789
43.44  496
45.22  153
54.26  294
66.78  128
76.64  134

Structure:
abc: 3.3815 3.3815 38.5244
angles: 90.00 90.00 120.00
Space group P3m1 (No. 156)
Unique sites:
Te 0.0000 0.0000 0.0000 x1
Te 0.0000 0.0000 0.0981 x1
Mo 0.0000 0.0000 0.8612 x1
W 0.0000 0.0000 0.2370 x1
W 0.6667 0.3333 0.0491 x1
W 0.6667 0.3333 0.6733 x1
Se 0.0000 0.0000 0.6302 x1
Se 0.0000 0.0000 0.7165 x1
Se 0.6667 0.3333 0.1938 x1
Se 0.6667 0.3333 0.2801 x1
Se 0.6667 0.3333 0.8182 x1
Se 0.6667 0.3333 0.9042 x1

=====

Lu5Si3B: theoretical PXRD pattern (copper Kα), based on a crystal structure in the Materials Project, relaxed with GGA-PBE.
Neutral-atom scattering factors, no anomalous dispersion.

Main lines, sorted by position (2θ = 10–90°):
2theta  intensity
24.67  327
25.81  480
31.56  514
32.83  525
36.00  1000
36.25  871
37.38  345
53.06  291
56.03  281
59.35  314

Structure:
abc: 8.3338 8.3338 6.1643
angles: 90.00 90.00 120.00
Space group P6_3/mcm (No. 193)
Unique sites:
Lu 0.0000 0.2387 0.2500 x6
Lu 0.3333 0.6667 0.0000 x4
Si 0.0000 0.4007 0.7500 x6
B 0.0000 0.0000 0.0000 x2

=====

SrLaCuSe3: theoretical PXRD pattern (copper Kα), based on a crystal structure in the Materials Project, relaxed with GGA-PBE.
Neutral-atom scattering factors, no anomalous dispersion.

Main lines, sorted by position (2θ = 10–90°):
2theta  intensity
28.31  395
29.75  338
30.22  530
31.61  1000
31.78  568
32.92  289
35.64  725
38.36  289
38.65  323
43.19  564

Structure:
abc: 8.6181 4.1888 16.9355
angles: 90.00 90.00 90.00
Space group Pnma (No. 62)
Unique sites:
Sr 0.2385 0.2500 0.0348 x4
La 0.0935 0.7500 0.2866 x4
Cu 0.1225 0.7500 0.8653 x4
Se 0.0137 0.7500 0.1070 x4
Se 0.1143 0.2500 0.4214 x4
Se 0.1794 0.7500 0.7207 x4

=====

SrMg14Sb: theoretical PXRD pattern (copper Kα), based on a crystal structure in the Materials Project, relaxed with GGA-PBE.
Neutral-atom scattering factors, no anomalous dispersion.

Main lines, sorted by position (2θ = 10–90°):
2theta  intensity
15.61  360
22.94  329
31.51  286
33.80  254
35.88  1000
46.88  184
56.11  171
61.82  191
67.13  193
68.42  141

Structure:
abc: 6.5565 6.5565 10.6080
angles: 90.00 90.00 120.00
Space group P-6m2 (No. 187)
Unique sites:
Sr 0.0000 0.0000 0.0000 x1
Mg 0.0071 0.5036 0.0000 x3
Mg 0.1702 0.3403 0.2569 x6
Mg 0.5023 0.0047 0.5000 x3
Mg 0.6667 0.3333 0.2449 x2
Sb 0.0000 0.0000 0.5000 x1

=====

Sr2CaPr3Cu4O12: theoretical PXRD pattern (copper Kα), based on a crystal structure in the Materials Project, relaxed with GGA-PBE.
Neutral-atom scattering factors, no anomalous dispersion.

Main lines, sorted by position (2θ = 10–90°):
2theta  intensity
18.02  105
26.96  280
32.62  1000
33.08  695
39.76  204
43.32  195
47.49  412
47.89  102
58.80  368
79.09  111

Structure:
abc: 5.4107 5.4198 19.6904
angles: 90.00 90.00 90.00
Space group Amm2 (No. 38)
Unique sites:
Sr 0.0000 0.0000 0.0000 x2
Sr 0.5000 0.0000 0.3204 x2
Ca 0.0000 0.0000 0.8241 x2
Pr 0.0000 0.0000 0.6446 x2
Pr 0.5000 0.0000 0.1432 x2
Pr 0.5000 0.0000 0.4979 x2
Cu 0.0000 0.0000 0.2326 x2
Cu 0.0000 0.0000 0.4101 x2
Cu 0.5000 0.0000 0.7363 x2
Cu 0.5000 0.0000 0.9097 x2
O 0.0000 0.0000 0.1248 x2
O 0.0000 0.0000 0.5265 x2
O 0.2472 0.2431 0.7339 x8
O 0.2503 0.2498 0.4056 x8
O 0.5000 0.0000 0.0270 x2
O 0.5000 0.0000 0.6158 x2

=====

NdSeO: theoretical PXRD pattern (copper Kα), based on a crystal structure in the Materials Project, relaxed with GGA-PBE.
Neutral-atom scattering factors, no anomalous dispersion.

Main lines, sorted by position (2θ = 10–90°):
2theta  intensity
28.95  1000
29.78  178
32.67  133
40.14  146
40.25  145
42.62  154
48.45  212
50.78  153
52.34  126
59.59  121

Structure:
abc: 13.4781 6.0016 5.9986
angles: 90.00 90.00 90.00
Space group Cmce (No. 64)
Unique sites:
Nd 0.1675 0.0000 0.0000 x8
Se 0.0000 0.1435 0.3562 x8
O 0.2500 0.2447 0.7500 x8

=====

MgSi2: theoretical PXRD pattern (copper Kα), based on a crystal structure in the Materials Project, relaxed with GGA-PBE.
Neutral-atom scattering factors, no anomalous dispersion.

Main lines, sorted by position (2θ = 10–90°):
2theta  intensity
35.06  813
37.26  791
37.52  592
38.15  386
38.55  377
39.93  1000
40.88  449
43.94  394
45.30  370
49.46  673

Structure:
abc: 3.6954 5.9401 10.1968
angles: 97.87 92.99 92.58
Space group P1 (No. 1)
Unique sites:
Mg 0.0000 0.0000 0.0000 x1
Mg 0.0563 0.5822 0.3350 x1
Mg 0.4817 0.2811 0.8375 x1
Mg 0.5792 0.0223 0.4850 x1
Si 0.0368 0.5245 0.0370 x1
Si 0.0688 0.3570 0.5991 x1
Si 0.0805 0.0824 0.2774 x1
Si 0.4928 0.8370 0.7600 x1
Si 0.5366 0.3440 0.1433 x1
Si 0.5467 0.8350 0.1773 x1
Si 0.5748 0.5892 0.5463 x1
Si 0.9842 0.6105 0.8106 x1